Sr4Li3Al: computed powder diffraction line list (λ = 1.5418 Å (Cu Kα)), based on the GGA-PBE geometry in Alexandria.
Neutral-atom scattering factors, no anomalous dispersion.

Most intense lines, 10° ≤ 2θ ≤ 90°, sorted by position:
2θ (°)  I_rel
21.56  74.0
30.67  100.0
37.80  22.8
43.93  17.9
49.44  30.4
54.53  36.8

Cell and atoms:
a b c (Å): 10.107 10.107 10.107
angles (deg): 33.50 33.50 33.50
Fractional positions:
Sr  0.120  0.120  0.120
Sr  0.371  0.371  0.371
Sr  0.629  0.629  0.629
Sr  0.880  0.880  0.880
Li  0.250  0.250  0.250
Li  0.500  0.500  0.500
Li  0.750  0.750  0.750
Al  0.000  0.000  0.000